No. 1
Starting from a GGA-PBE-relaxed structure, the XRD peak list of Ce3CO3 was calculated for Cu Kα (weighted mean of Kα1 and Kα2).
Neutral-atom scattering factors, no anomalous dispersion.

Principal peaks in the range 15 to 90 degrees two-theta, low angle first:
2θ (°)  d/Å  I/Imax  index
15.18  5.837  49.6  1 0 1
24.53  3.630  13.8  0 2 0
28.93  3.086  15.9  1 2 1
30.60  2.922  100.0  2 0 2
34.96  2.566  61.1  2 2 0
36.48  2.463  27.6  0 0 4
51.42  1.777  39.0  2 2 4
59.95  1.543  15.9  2 4 2
60.08  1.540  17.0  4 2 2
62.04  1.496  14.5  2 0 6

Cell and atoms:
Unit cell a=7.2458 b=7.2718 c=9.8518 alpha=90.00 beta=90.00 gamma=90.00
Space group Imma (No. 74)
Symmetry-distinct sites (fractional):
Ce1 0.0000 0.2500 0.0029 x4
Ce2 0.2500 0.0048 0.7500 x8
C1 0.0000 0.2500 0.7682 x4
O1 0.0000 0.2500 0.2396 x4
O2 0.2022 0.0000 0.0000 x8

---

No. 2
Starting from a GGA-PBE-relaxed structure, the XRD peak list of Ce5C4O was calculated for Cu Kα (weighted mean of Kα1 and Kα2).
Neutral-atom scattering factors, no anomalous dispersion.

Principal peaks in the range 15 to 90 degrees two-theta, low angle first:
2θ (°)  d/Å  I/Imax  index
29.97  2.982  100.0  1 1 0
34.52  2.598  48.8  1 0 5
35.18  2.551  23.2  0 2 0
49.55  1.840  8.6  2 0 0
49.68  1.835  8.4  0 0 10
50.12  1.820  33.0  1 2 5
59.06  1.564  30.7  1 1 10
59.94  1.543  14.7  1 3 0
62.22  1.492  8.5  2 2 0
81.44  1.182  12.4  1 3 10

Cell and atoms:
Unit cell a=3.6791 b=5.1013 c=18.3510 alpha=90.00 beta=90.00 gamma=90.00
Space group Immm (No. 71)
Symmetry-distinct sites (fractional):
Ce1 0.0000 0.0000 0.0000 x2
Ce2 0.0000 0.0000 0.2003 x4
Ce3 0.0000 0.0000 0.4003 x4
C1 0.0000 0.5000 0.1938 x4
C2 0.0000 0.5000 0.4040 x4
O1 0.0000 0.5000 0.0000 x2

---

No. 3
Starting from a GGA-PBE-relaxed structure, the XRD peak list of Sr3CePC3O13 was calculated for Cu Kα (weighted mean of Kα1 and Kα2).
Neutral-atom scattering factors, no anomalous dispersion.

Principal peaks in the range 15 to 90 degrees two-theta, low angle first:
2θ (°)  d/Å  I/Imax  index
17.39  5.101  12.6  1 1 0
22.27  3.992  50.8  0 2 1
27.83  3.206  100.0  2 0 2
28.39  3.143  13.0  2 1 1
35.19  2.550  37.8  2 2 0
42.04  2.149  27.0  4 0 1
42.29  2.137  15.0  0 3 3
43.94  2.061  25.0  0 2 4
45.45  1.996  15.6  0 4 2
46.05  1.971  28.4  2 2 3

Cell and atoms:
Unit cell a=10.2011 b=10.2011 c=9.3189 alpha=90.00 beta=90.00 gamma=120.00
Space group R3m (No. 160, hexagonal axes)
Symmetry-distinct sites (fractional):
Sr1 0.1849 0.3697 0.0000 x9
Ce1 0.0000 0.0000 0.7112 x3
P1 0.0000 0.0000 0.1299 x3
C1 0.0002 0.5001 0.1440 x9
O1 0.0000 0.0000 0.9651 x3
O2 0.0825 0.1650 0.1885 x9
O3 0.0930 0.4055 0.4585 x18
O4 0.0947 0.1894 0.5044 x9

---

No. 4
Starting from a GGA-PBE-relaxed structure, the XRD peak list of Ce3Os2C was calculated for Cu Kα (weighted mean of Kα1 and Kα2).
Neutral-atom scattering factors, no anomalous dispersion.

Principal peaks in the range 15 to 90 degrees two-theta, low angle first:
2θ (°)  d/Å  I/Imax  index
32.33  2.769  48.8  2 0 1
33.71  2.659  95.6  0 2 0
33.96  2.640  100.0  1 1 1
35.24  2.547  55.7  4 0 -1
36.71  2.448  49.3  5 1 0
39.20  2.298  40.6  6 0 0
47.41  1.918  26.5  2 2 1
49.56  1.839  42.4  4 2 -1
52.64  1.739  34.7  6 2 0
61.16  1.515  32.6  7 1 1

Cell and atoms:
Unit cell a=13.9373 b=5.3175 c=3.2574 alpha=90.00 beta=98.40 gamma=90.00
Space group C2/m (No. 12)
Symmetry-distinct sites (fractional):
Ce1 0.0000 0.0000 0.0000 x2
Ce2 0.1370 0.5000 0.5641 x4
Os1 0.1698 0.0000 0.8276 x4
C1 0.0000 0.5000 0.0000 x2

---

No. 5
Starting from a GGA-PBE-relaxed structure, the XRD peak list of Ce6OsPb2C was calculated for Cu Kα (weighted mean of Kα1 and Kα2).
Neutral-atom scattering factors, no anomalous dispersion.

Principal peaks in the range 15 to 90 degrees two-theta, low angle first:
2θ (°)  d/Å  I/Imax  index
24.14  3.687  25.3  1 0 2
29.68  3.010  100.0  1 1 2
34.23  2.620  31.1  0 0 4
34.48  2.601  65.4  2 0 0
49.38  1.846  44.4  2 0 4
49.57  1.839  23.6  2 2 0
58.50  1.578  12.2  1 1 6
58.84  1.569  29.3  3 1 2
61.62  1.505  22.9  2 2 4
83.03  1.163  10.8  4 2 0

Cell and atoms:
Unit cell a=5.2017 b=5.2017 c=10.4789 alpha=90.00 beta=90.00 gamma=90.00
Space group P4/mmm (No. 123)
Symmetry-distinct sites (fractional):
Ce1 0.0000 0.0000 0.2286 x2
Ce2 0.0000 0.5000 0.0000 x2
Ce3 0.0000 0.5000 0.5000 x2
Os1 0.0000 0.0000 0.5000 x1
Pb1 0.5000 0.5000 0.2405 x2
C1 0.0000 0.0000 0.0000 x1

---

No. 6
Starting from a GGA-PBE-relaxed structure, the XRD peak list of Ce5Sb2OsC was calculated for Cu Kα (weighted mean of Kα1 and Kα2).
Neutral-atom scattering factors, no anomalous dispersion.

Principal peaks in the range 15 to 90 degrees two-theta, low angle first:
2θ (°)  d/Å  I/Imax  index
27.02  3.299  58.1  1 1 0
28.21  3.164  100.0  1 1 1
31.51  2.839  42.1  1 1 2
32.11  2.787  54.4  0 0 4
36.41  2.467  67.7  1 1 3
38.59  2.333  86.6  2 0 0
51.05  1.789  58.7  2 0 4
55.72  1.650  29.6  2 2 0
65.78  1.420  27.3  2 2 4
68.41  1.371  21.5  3 1 3

Cell and atoms:
Unit cell a=4.6661 b=4.6661 c=11.1493 alpha=90.00 beta=90.00 gamma=90.00
Space group P4/mmm (No. 123)
Symmetry-distinct sites (fractional):
Ce1 0.0000 0.0000 0.0000 x1
Ce2 0.0000 0.5000 0.5000 x2
Ce3 0.5000 0.5000 0.2299 x2
Sb1 0.0000 0.0000 0.2896 x2
Os1 0.5000 0.5000 0.0000 x1
C1 0.5000 0.5000 0.5000 x1

---

No. 7
Starting from a GGA-PBE-relaxed structure, the XRD peak list of Ce5P4C was calculated for Cu Kα (weighted mean of Kα1 and Kα2).
Neutral-atom scattering factors, no anomalous dispersion.

Principal peaks in the range 15 to 90 degrees two-theta, low angle first:
2θ (°)  d/Å  I/Imax  index
27.18  3.280  100.0  1 2 1
31.21  2.866  39.1  0 0 2
31.63  2.829  75.0  3 1 0
45.03  2.013  54.7  3 1 2
45.34  2.000  25.5  2 4 0
53.13  1.724  16.1  1 2 3
53.67  1.708  27.2  5 0 1
56.07  1.640  26.5  2 4 2
74.19  1.278  11.9  3 1 4
83.53  1.157  14.7  5 5 2

Cell and atoms:
Unit cell a=8.9458 b=8.9458 c=5.7313 alpha=90.00 beta=90.00 gamma=90.00
Space group I4 (No. 79)
Symmetry-distinct sites (fractional):
Ce1 0.0000 0.0000 0.0000 x2
Ce2 0.0942 0.7182 0.5247 x8
P1 0.0934 0.6979 0.0246 x8
C1 0.0000 0.0000 0.5644 x2

---

No. 8
Starting from a GGA-PBE-relaxed structure, the XRD peak list of Ce2Tc2P2C was calculated for Cu Kα (weighted mean of Kα1 and Kα2).
Neutral-atom scattering factors, no anomalous dispersion.

Principal peaks in the range 15 to 90 degrees two-theta, low angle first:
2θ (°)  d/Å  I/Imax  index
24.30  3.663  28.7  1 1 0
31.56  2.835  47.7  2 0 1
32.19  2.780  33.4  1 1 1
32.61  2.746  21.4  4 0 -1
32.88  2.724  74.2  3 1 -1
33.60  2.668  32.4  4 0 -2
35.87  2.504  100.0  1 1 -2
36.99  2.430  44.1  3 1 0
45.42  1.997  34.5  0 2 0
60.98  1.519  22.9  1 1 3

Cell and atoms:
Unit cell a=11.1813 b=3.9934 c=6.7596 alpha=90.00 beta=124.73 gamma=90.00
Space group C2/m (No. 12)
Symmetry-distinct sites (fractional):
Ce1 0.0616 0.0000 0.3083 x4
Tc1 0.1977 0.5000 0.0881 x4
P1 0.1805 0.5000 0.7156 x4
C1 0.0000 0.5000 0.0000 x2

---

No. 9
Starting from a GGA-PBE-relaxed structure, the XRD peak list of Ce2UPaC4 was calculated for Cu Kα (weighted mean of Kα1 and Kα2).
Neutral-atom scattering factors, no anomalous dispersion.

Principal peaks in the range 15 to 90 degrees two-theta, low angle first:
2θ (°)  d/Å  I/Imax  index
15.06  5.885  8.7  1 0 0
30.35  2.945  100.0  2 0 0
35.11  2.556  21.5  2 0 -2
35.23  2.547  42.7  1 1 1
50.60  1.804  37.9  0 2 0
60.06  1.540  15.5  4 0 -2
60.23  1.537  30.8  3 1 1
63.14  1.472  15.6  2 2 -2
82.37  1.171  13.2  5 1 -1
85.11  1.140  10.5  1 3 1

Cell and atoms:
Unit cell a=6.2504 b=3.6050 c=6.2552 alpha=90.00 beta=109.70 gamma=90.00
Space group P2/m (No. 10)
Symmetry-distinct sites (fractional):
Ce1 0.0000 0.0000 0.0000 x1
Ce2 0.0000 0.5000 0.5000 x1
U1 0.5000 0.0000 0.5000 x1
Pa1 0.5000 0.5000 0.0000 x1
C1 0.2810 0.0000 0.7500 x2
C2 0.2879 0.5000 0.2737 x2

---

No. 10
Starting from a GGA-PBE-relaxed structure, the XRD peak list of Ce6Pb2C was calculated for Cu Kα (weighted mean of Kα1 and Kα2).
Neutral-atom scattering factors, no anomalous dispersion.

Principal peaks in the range 15 to 90 degrees two-theta, low angle first:
2θ (°)  d/Å  I/Imax  index
31.54  2.837  100.0  0 2 2
31.98  2.799  89.9  2 0 2
35.16  2.552  37.4  0 0 4
37.64  2.390  60.7  2 2 0
52.46  1.744  44.3  2 2 4
60.83  1.523  14.1  0 2 6
61.10  1.517  12.7  2 0 6
63.89  1.457  24.5  2 4 2
64.67  1.441  19.1  4 2 2
86.43  1.126  17.5  2 2 8

Cell and atoms:
Unit cell a=6.6937 b=6.8254 c=10.2087 alpha=90.00 beta=90.00 gamma=90.00
Space group Immm (No. 71)
Symmetry-distinct sites (fractional):
Ce1 0.0000 0.0000 0.2378 x4
Ce2 0.2176 0.2583 0.5000 x8
Pb1 0.0000 0.5000 0.2374 x4
C1 0.0000 0.0000 0.0000 x2

---

No. 11
Starting from a GGA-PBE-relaxed structure, the XRD peak list of CePmC4 was calculated for Cu Kα (weighted mean of Kα1 and Kα2).
Neutral-atom scattering factors, no anomalous dispersion.

Principal peaks in the range 15 to 90 degrees two-theta, low angle first:
2θ (°)  d/Å  I/Imax  index
27.33  3.264  100.0  0 1 1
27.40  3.255  33.1  1 0 1
27.95  3.192  45.7  0 0 2
33.40  2.683  69.5  1 1 0
44.02  2.057  26.2  1 1 -2
44.16  2.051  26.0  1 1 2
47.95  1.897  24.1  2 0 0
49.05  1.857  29.0  0 1 3
56.06  1.640  29.4  2 1 -1
70.93  1.329  12.6  2 1 -3

Cell and atoms:
Unit cell a=3.7943 b=3.7943 c=6.3840 alpha=90.00 beta=90.25 gamma=90.00
Space group P2/m (No. 10)
Symmetry-distinct sites (fractional):
Ce1 0.0000 0.0000 0.0000 x1
Pm1 0.5000 0.5000 0.5000 x1
C1 0.0002 0.0000 0.3980 x2
C2 0.4988 0.5000 0.1023 x2

---

No. 12
Starting from a GGA-PBE-relaxed structure, the XRD peak list of CePm3C8 was calculated for Cu Kα (weighted mean of Kα1 and Kα2).
Neutral-atom scattering factors, no anomalous dispersion.

Principal peaks in the range 15 to 90 degrees two-theta, low angle first:
2θ (°)  d/Å  I/Imax  index
24.87  3.580  57.8  2 2 0
28.77  3.103  100.0  2 0 2
35.46  2.531  35.1  4 0 0
46.28  1.962  67.2  2 4 2
53.21  1.721  19.8  2 2 4
57.57  1.601  13.7  6 2 0
59.61  1.551  24.0  4 0 4
71.32  1.322  21.8  6 4 2
76.83  1.241  14.1  6 2 4
85.76  1.133  12.6  4 2 6

Cell and atoms:
Unit cell a=10.1192 b=10.1321 c=7.8525 alpha=90.00 beta=90.00 gamma=90.00
Space group Fmm2 (No. 42)
Symmetry-distinct sites (fractional):
Ce1 0.0000 0.0000 0.0000 x4
Pm1 0.0000 0.0000 0.4995 x4
Pm2 0.2500 0.2500 0.2501 x8
C1 0.0000 0.1633 0.2322 x8
C2 0.0000 0.2332 0.6348 x8
C3 0.1633 0.0000 0.7662 x8
C4 0.2331 0.0000 0.3634 x8